# TlInHg
Calculated XRD peak list, Cu Kα. Input: a cell relaxed with PBE.

Main lines, by angle (15° ≤ 2θ ≤ 90°):
- 2θ 32.27, I 100
- 2θ 37.38, I 34
- 2θ 37.53, I 16
- 2θ 53.90, I 12
- 2θ 54.01, I 23
- 2θ 64.23, I 28
- 2θ 64.43, I 13
- 2θ 67.53, I 12

Crystal structure
Cell lengths 3.4020, 3.4020, 14.3799 Å; angles 90.00, 90.00, 90.00 degrees
Sites, in units of the cell vectors:
Tl 0.0000 0.0000 0.0000
Tl 0.5000 0.5000 0.5000
In 0.0000 0.0000 0.6785
In 0.5000 0.5000 0.1785
Hg 0.0000 0.0000 0.3325
Hg 0.5000 0.5000 0.8325